Record 1
# KSb6O12
Simulated PXRD pattern, Cu Kα, 1.54184 Å. Input: DFT lattice parameters and positions (GGA-PBE).

Peak list (8 most intense, 10° ≤ 2θ ≤ 90°, in order of rising 2θ)
d [Å]  2θ/deg  I/Imax  h k l
4.037  22.02  21  0 2 1
3.216  27.74  100  2 1 1
2.788  32.10  28  0 0 3
2.677  33.47  50  1 2 2
2.065  43.85  25  0 3 3
1.800  50.70  21  0 5 1
1.774  51.51  21  3 3 0
1.687  54.38  25  5 0 2

Cell and atoms:
Lattice parameters (Å, degrees): 10.6446 10.6446 8.3643 90.00 90.00 120.00
Space group R-3m (No. 166, hexagonal axes)
Inequivalent atoms, fractional coordinates:
K (0.0000, 0.0000, 0.0000) (multiplicity 3)
Sb (0.0836, 0.5418, 0.3134) (multiplicity 18)
O (0.0000, 0.3833, 0.5000) (multiplicity 18)
O (0.0877, 0.1754, 0.3539) (multiplicity 18)

***

Record 2
# K4SbO4
Simulated PXRD pattern, Cu Kα, 1.54184 Å. Input: DFT lattice parameters and positions (GGA-PBE).

Peak list (8 most intense, 10° ≤ 2θ ≤ 90°, in order of rising 2θ)
d [Å]  2θ/deg  I/Imax  h k l
5.620  15.77  100  1 0 1
5.047  17.57  44  1 1 0
3.841  23.16  27  1 0 2
3.382  26.35  34  1 1 2
3.323  26.83  20  2 0 1
3.013  29.65  64  2 1 1
2.795  32.02  31  1 0 3
2.208  40.88  35  2 2 2

Cell and atoms:
Lattice parameters (Å, degrees): 7.138 7.138 9.114 90.00 90.00 90.00
Space group P4_2/nmc (No. 137, origin choice 2)
Inequivalent atoms, fractional coordinates:
K (0.013, 0.250, 0.069) (multiplicity 8)
Sb (0.250, 0.750, 0.250) (multiplicity 2)
O (0.039, 0.750, 0.388) (multiplicity 8)

***

Record 3
# K2Sb4O11
Simulated PXRD pattern, Cu Kα, 1.54184 Å. Input: DFT lattice parameters and positions (GGA-PBE).

Peak list (8 most intense, 10° ≤ 2θ ≤ 90°, in order of rising 2θ)
d [Å]  2θ/deg  I/Imax  h k l
7.259  12.19  56  0 0 1
7.148  12.38  100  1 1 0
6.117  14.48  34  2 0 -1
3.574  24.91  38  2 2 0
3.391  26.28  28  0 2 1
3.036  29.42  24  3 1 -2
2.804  31.92  24  4 0 2
2.496  35.99  23  6 2 0

Cell and atoms:
Lattice parameters (Å, degrees): 19.802 7.670 7.289 90.00 95.21 90.00
Space group C2/m (No. 12)
Inequivalent atoms, fractional coordinates:
K (0.012, 0.000, 0.261) (multiplicity 4)
K (0.242, 0.000, 0.004) (multiplicity 4)
Sb (0.072, 0.500, 0.098) (multiplicity 4)
Sb (0.076, 0.500, 0.617) (multiplicity 4)
Sb (0.174, 0.242, 0.436) (multiplicity 8)
O (0.000, 0.327, 0.000) (multiplicity 4)
O (0.023, 0.500, 0.345) (multiplicity 4)
O (0.088, 0.244, 0.570) (multiplicity 8)
O (0.118, 0.500, 0.868) (multiplicity 4)
O (0.129, 0.302, 0.188) (multiplicity 8)
O (0.160, 0.000, 0.352) (multiplicity 4)
O (0.167, 0.500, 0.510) (multiplicity 4)
O (0.236, 0.212, 0.668) (multiplicity 8)

***

Record 4
# KSbO
Simulated PXRD pattern, Cu Kα, 1.54184 Å. Input: DFT lattice parameters and positions (GGA-PBE).

Peak list (8 most intense, 10° ≤ 2θ ≤ 90°, in order of rising 2θ)
d [Å]  2θ/deg  I/Imax  h k l
6.465  13.70  39  2 0 0
5.938  14.92  71  0 0 1
5.782  15.33  45  2 0 -1
3.286  27.14  32  2 0 -2
3.080  28.99  38  1 1 1
3.035  29.43  100  3 1 -1
2.967  30.12  78  0 0 2
1.931  47.06  30  3 1 -3

Cell and atoms:
Lattice parameters (Å, degrees): 14.317 4.086 6.575 90.00 115.43 90.00
Space group Cm (No. 8)
Inequivalent atoms, fractional coordinates:
K (0.000, 0.000, 0.000) (multiplicity 2)
K (0.199, 0.000, 0.809) (multiplicity 2)
Sb (0.249, 0.500, 0.342) (multiplicity 2)
Sb (0.402, 0.000, 0.377) (multiplicity 2)
O (0.151, 0.500, 0.023) (multiplicity 2)
O (0.399, 0.000, 0.078) (multiplicity 2)